# 1
CeMgZr7O16: theoretical XRD peak list (Cu Ka), based on a DFT-relaxed cell (PBE, Alexandria).
Neutral-atom scattering factors, no anomalous dispersion.

Peak list (6 most intense, 10 to 80 degrees two-theta, low angle first)
| 2θ/deg | d (Å) | intensity |
| --- | --- | --- |
| 28.13 | 3.172 | 1000 |
| 29.96 | 2.982 | 831 |
| 33.12 | 2.705 | 230 |
| 45.96 | 1.975 | 203 |
| 47.95 | 1.897 | 361 |
| 48.79 | 1.867 | 324 |

Cell and atoms:
Lattice parameters (Å, degrees): 7.484 7.484 5.433 93.73 93.73 90.73
Positions (direct):
Ce: 0.000 0.000 0.000
Mg: 0.260 0.740 0.000
Zr: 0.288 0.186 0.502
Zr: 0.309 0.691 0.500
Zr: 0.536 0.464 0.000
Zr: 0.545 0.005 0.996
Zr: 0.780 0.220 0.500
Zr: 0.814 0.712 0.498
Zr: 0.995 0.455 0.004
O: 0.036 0.695 0.794
O: 0.037 0.236 0.755
O: 0.039 0.242 0.289
O: 0.043 0.719 0.297
O: 0.276 0.504 0.134
O: 0.281 0.957 0.703
O: 0.305 0.964 0.206
O: 0.313 0.454 0.647
O: 0.496 0.724 0.866
O: 0.521 0.239 0.276
O: 0.525 0.218 0.773
O: 0.546 0.687 0.353
O: 0.758 0.961 0.711
O: 0.761 0.479 0.724
O: 0.764 0.963 0.245
O: 0.782 0.475 0.227

***

# 2
Pm2PrY3: theoretical XRD peak list (Cu Ka), based on a DFT-relaxed cell (PBE, Alexandria).
Neutral-atom scattering factors, no anomalous dispersion.

Peak list (6 most intense, 10 to 80 degrees two-theta, low angle first)
| 2θ/deg | d (Å) | intensity |
| --- | --- | --- |
| 28.68 | 3.112 | 811 |
| 30.04 | 2.974 | 505 |
| 30.18 | 2.961 | 1000 |
| 33.52 | 2.673 | 649 |
| 35.63 | 2.520 | 522 |
| 37.33 | 2.409 | 497 |

Cell and atoms:
Lattice parameters (Å, degrees): 8.218 8.218 6.436 90.00 90.00 108.50
Positions (direct):
Pm: 0.122 0.239 0.000
Pm: 0.239 0.122 0.500
Pm: 0.761 0.878 0.000
Pm: 0.878 0.761 0.500
Pr: 0.324 0.676 0.723
Pr: 0.676 0.324 0.223
Y: 0.012 0.623 0.045
Y: 0.377 0.988 0.045
Y: 0.418 0.582 0.248
Y: 0.582 0.418 0.748
Y: 0.623 0.012 0.545
Y: 0.988 0.377 0.545

***

# 3
K2Zr3Br9: theoretical XRD peak list (Cu Ka), based on a DFT-relaxed cell (PBE, Alexandria).
Neutral-atom scattering factors, no anomalous dispersion.

Peak list (6 most intense, 10 to 80 degrees two-theta, low angle first)
| 2θ/deg | d (Å) | intensity |
| --- | --- | --- |
| 10.15 | 8.714 | 808 |
| 10.99 | 8.053 | 534 |
| 30.30 | 2.950 | 733 |
| 30.57 | 2.925 | 698 |
| 34.28 | 2.616 | 1000 |
| 48.68 | 1.870 | 506 |

Cell and atoms:
Lattice parameters (Å, degrees): 10.647 10.647 10.478 102.17 102.17 118.55
Positions (direct):
K: 0.056 0.731 0.671
K: 0.269 0.944 0.329
K: 0.731 0.056 0.671
K: 0.944 0.269 0.329
Zr: 0.268 0.454 0.852
Zr: 0.365 0.365 0.131
Zr: 0.454 0.268 0.852
Zr: 0.546 0.732 0.148
Zr: 0.635 0.635 0.869
Zr: 0.732 0.546 0.148
Br: 0.008 0.606 0.331
Br: 0.084 0.294 0.979
Br: 0.183 0.183 0.666
Br: 0.208 0.208 0.284
Br: 0.290 0.710 0.000
Br: 0.294 0.084 0.979
Br: 0.388 0.595 0.684
Br: 0.394 0.992 0.669
Br: 0.405 0.612 0.316
Br: 0.595 0.388 0.684
Br: 0.606 0.008 0.331
Br: 0.612 0.405 0.316
Br: 0.706 0.916 0.021
Br: 0.710 0.290 0.000
Br: 0.792 0.792 0.716
Br: 0.817 0.817 0.334
Br: 0.916 0.706 0.021
Br: 0.992 0.394 0.669

***

# 4
Cs2SeOF6: theoretical XRD peak list (Cu Ka), based on a DFT-relaxed cell (PBE, Alexandria).
Neutral-atom scattering factors, no anomalous dispersion.

Peak list (6 most intense, 10 to 80 degrees two-theta, low angle first)
| 2θ/deg | d (Å) | intensity |
| --- | --- | --- |
| 16.37 | 5.414 | 263 |
| 26.53 | 3.360 | 1000 |
| 27.61 | 3.231 | 439 |
| 33.09 | 2.707 | 369 |
| 39.44 | 2.284 | 331 |
| 48.17 | 1.889 | 351 |

Cell and atoms:
Lattice parameters (Å, degrees): 6.743 6.743 6.743 122.74 122.74 85.31
Positions (direct):
Cs: 0.250 0.750 0.500
Cs: 0.750 0.250 0.500
Se: 0.000 0.000 0.000
O: 0.500 0.500 0.000
F: 0.198 0.198 0.000
F: 0.214 0.214 0.429
F: 0.214 0.786 0.000
F: 0.786 0.214 0.000
F: 0.786 0.786 0.571
F: 0.802 0.802 0.000

***

# 5
Li3In2Ag3: theoretical XRD peak list (Cu Ka), based on a DFT-relaxed cell (PBE, Alexandria).
Neutral-atom scattering factors, no anomalous dispersion.

Peak list (6 most intense, 10 to 80 degrees two-theta, low angle first)
| 2θ/deg | d (Å) | intensity |
| --- | --- | --- |
| 11.57 | 7.651 | 88 |
| 23.29 | 3.820 | 445 |
| 38.48 | 2.339 | 1000 |
| 45.46 | 1.995 | 220 |
| 55.55 | 1.654 | 164 |
| 69.64 | 1.350 | 244 |

Cell and atoms:
Lattice parameters (Å, degrees): 8.114 8.114 8.114 33.49 33.49 33.49
Positions (direct):
Li: 0.000 0.000 0.000
Li: 0.127 0.127 0.127
Li: 0.503 0.503 0.503
In: 0.252 0.252 0.252
In: 0.752 0.752 0.752
Ag: 0.378 0.378 0.378
Ag: 0.628 0.628 0.628
Ag: 0.875 0.875 0.875

***

# 6
InNi2: theoretical XRD peak list (Cu Ka), based on a DFT-relaxed cell (PBE, Alexandria).
Neutral-atom scattering factors, no anomalous dispersion.

Peak list (6 most intense, 10 to 80 degrees two-theta, low angle first)
| 2θ/deg | d (Å) | intensity |
| --- | --- | --- |
| 26.84 | 3.322 | 428 |
| 34.47 | 2.602 | 908 |
| 43.24 | 2.092 | 384 |
| 44.22 | 2.048 | 1000 |
| 44.46 | 2.038 | 350 |
| 62.52 | 1.486 | 219 |

Cell and atoms:
Lattice parameters (Å, degrees): 5.343 5.343 5.343 127.83 127.83 76.89
Positions (direct):
In: 0.250 0.250 0.000
In: 0.750 0.750 0.000
Ni: 0.185 0.685 0.870
Ni: 0.315 0.185 0.500
Ni: 0.685 0.815 0.500
Ni: 0.815 0.315 0.130